# 1
Structure and theoretical XRD peak list of Ac2Sm2Ho7 (DFT lattice parameters and positions (GGA-PBE); Cu Kα (λ = 1.5418 Å)).
Intensities are scaled so that the largest is 100.

Structure:
```
data_Ac2Sm2Ho7
_cell_length_a 3.7115
_cell_length_b 11.9162
_cell_length_c 17.2876
_cell_angle_alpha 90.00
_cell_angle_beta 90.00
_cell_angle_gamma 90.00
_symmetry_space_group_name_H-M 'I m m m'
_symmetry_Int_Tables_number 71
_symmetry_space_group_name_Hall '-I 2 2'
loop_
_atom_site_label
_atom_site_type_symbol
_atom_site_fract_x
_atom_site_fract_y
_atom_site_fract_z
Ac1 Ac 0.0000 0.0000 0.1927
Sm1 Sm 0.0000 0.2463 0.0000
Ho1 Ho 0.0000 0.2325 0.3326
Ho2 Ho 0.0000 0.5000 0.1087
Ho3 Ho 0.0000 0.5000 0.5000
```

Most intense lines, 2θ from 15° to 90°, by angle:
hkl 0 1 5, 26.85 deg, d 3.321, I 23
hkl 1 1 2, 27.21 deg, d 3.278, I 23
hkl 0 4 0, 30.00 deg, d 2.979, I 38
hkl 1 2 3, 32.39 deg, d 2.764, I 100
hkl 0 3 5, 34.39 deg, d 2.608, I 16
hkl 1 6 3, 54.79 deg, d 1.675, I 20

# 2
Structure and theoretical XRD peak list of Na2AcInSn2 (DFT lattice parameters and positions (GGA-PBE); Cu Kα (λ = 1.5418 Å)).
Intensities are scaled so that the largest is 100.

Structure:
```
data_Na2AcInSn2
_cell_length_a 4.8049
_cell_length_b 9.5016
_cell_length_c 8.2548
_cell_angle_alpha 90.00
_cell_angle_beta 90.00
_cell_angle_gamma 90.00
_symmetry_space_group_name_H-M 'P m c 21'
_symmetry_Int_Tables_number 26
loop_
_symmetry_equiv_pos_as_xyz
'x,y,z'
'-x,-y,z+1/2'
'-x,y,z'
'x,-y,z+1/2'
loop_
_atom_site_label
_atom_site_type_symbol
_atom_site_fract_x
_atom_site_fract_y
_atom_site_fract_z
Na1 Na 0.0000 0.0759 0.0000
Na2 Na 0.5000 0.1638 0.3205
Ac1 Ac 0.5000 0.4384 0.9500
In1 In 0.0000 0.3162 0.6126
Sn1 Sn 0.0000 0.3736 0.2376
Sn2 Sn 0.5000 0.1536 0.7061
```

Most intense lines, 2θ from 15° to 90°, by angle:
hkl 1 1 1, 23.38 deg, d 3.805, I 31
hkl 1 2 1, 28.54 deg, d 3.128, I 78
hkl 1 1 2, 30.05 deg, d 2.974, I 100
hkl 1 3 0, 33.90 deg, d 2.644, I 62
hkl 2 0 0, 37.43 deg, d 2.402, I 37
hkl 0 2 3, 37.80 deg, d 2.380, I 32

# 3
Structure and theoretical XRD peak list of Ag2Pb2Cl7 (DFT lattice parameters and positions (GGA-PBE); Cu Kα (λ = 1.5418 Å)).
Intensities are scaled so that the largest is 100.

Structure:
```
data_Ag2Pb2Cl7
_cell_length_a 9.1528
_cell_length_b 9.9026
_cell_length_c 6.8342
_cell_angle_alpha 90.00
_cell_angle_beta 90.00
_cell_angle_gamma 90.00
_symmetry_space_group_name_H-M 'C m m m'
_symmetry_Int_Tables_number 65
_symmetry_space_group_name_Hall '-C 2 2'
loop_
_atom_site_label
_atom_site_type_symbol
_atom_site_fract_x
_atom_site_fract_y
_atom_site_fract_z
Ag1 Ag 0.0000 0.2456 0.0000
Pb1 Pb 0.2384 0.0000 0.5000
Cl1 Cl 0.0000 0.0000 0.2445
Cl2 Cl 0.0000 0.5000 0.0000
Cl3 Cl 0.2500 0.2500 0.2484
```

Most intense lines, 2θ from 15° to 90°, by angle:
hkl 0 2 1, 22.17 deg, d 4.010, I 89
hkl 2 0 1, 23.39 deg, d 3.803, I 100
hkl 0 4 0, 36.29 deg, d 2.476, I 28
hkl 2 2 2, 37.54 deg, d 2.396, I 86
hkl 2 4 1, 43.63 deg, d 2.075, I 39
hkl 4 2 1, 45.65 deg, d 1.987, I 26

# 4
Structure and theoretical XRD peak list of LiEr4Au3 (DFT lattice parameters and positions (GGA-PBE); Cu Kα (λ = 1.5418 Å)).
Intensities are scaled so that the largest is 100.

Structure:
```
data_LiEr4Au3
_cell_length_a 15.1565
_cell_length_b 5.0633
_cell_length_c 5.0634
_cell_angle_alpha 90.00
_cell_angle_beta 109.41
_cell_angle_gamma 90.00
_symmetry_space_group_name_H-M 'C 1 2/m 1'
_symmetry_Int_Tables_number 12
loop_
_symmetry_equiv_pos_as_xyz
'x,y,z'
'-x,-y,-z'
'-x,y,-z'
'x,-y,z'
'x+1/2,y+1/2,z'
'-x+1/2,-y+1/2,-z'
'-x+1/2,y+1/2,-z'
'x+1/2,-y+1/2,z'
loop_
_atom_site_label
_atom_site_type_symbol
_atom_site_fract_x
_atom_site_fract_y
_atom_site_fract_z
Li1 Li 0.0000 0.0000 0.0000
Er1 Er 0.1266 0.0000 0.6263
Er2 Er 0.1266 0.5000 0.1265
Au1 Au 0.0000 0.5000 0.5000
Au2 Au 0.2318 0.0000 0.2311
```

Most intense lines, 2θ from 15° to 90°, by angle:
hkl 2 0 1, 25.67 deg, d 3.470, I 11
hkl 0 2 0, 35.48 deg, d 2.530, I 100
hkl 2 2 -2, 51.02 deg, d 1.790, I 13
hkl 7 1 -3, 63.69 deg, d 1.461, I 27
hkl 10 0 -2, 63.77 deg, d 1.459, I 7
hkl 4 2 -4, 85.84 deg, d 1.132, I 11

# 5
Structure and theoretical XRD peak list of CsCd2Bi (DFT lattice parameters and positions (GGA-PBE); Cu Kα (λ = 1.5418 Å)).
Intensities are scaled so that the largest is 100.

Structure:
```
data_CsCd2Bi
_cell_length_a 5.0143
_cell_length_b 5.0143
_cell_length_c 12.5122
_cell_angle_alpha 90.00
_cell_angle_beta 90.00
_cell_angle_gamma 90.00
_symmetry_space_group_name_H-M 'P 4/n m m'
_symmetry_Int_Tables_number 129
loop_
_symmetry_equiv_pos_as_xyz
'x,y,z'
'-x,-y,-z'
'-y+1/2,x,z'
'y+1/2,-x,-z'
'-x+1/2,-y+1/2,z'
'x+1/2,y+1/2,-z'
'y,-x+1/2,z'
'-y,x+1/2,-z'
'x+1/2,-y,-z'
'-x+1/2,y,z'
'-y,-x,-z'
'y,x,z'
'-x,y+1/2,-z'
'x,-y+1/2,z'
'y+1/2,x+1/2,-z'
'-y+1/2,-x+1/2,z'
loop_
_atom_site_label
_atom_site_type_symbol
_atom_site_fract_x
_atom_site_fract_y
_atom_site_fract_z
Cs1 Cs 0.2500 0.2500 0.2388
Cd1 Cd 0.2500 0.2500 0.9357
Cd2 Cd 0.2500 0.7500 0.5000
Bi1 Bi 0.2500 0.2500 0.6425
```

Most intense lines, 2θ from 15° to 90°, by angle:
hkl 1 1 0, 25.12 deg, d 3.546, I 68
hkl 1 0 3, 27.82 deg, d 3.207, I 100
hkl 1 1 2, 28.95 deg, d 3.085, I 37
hkl 1 1 3, 33.16 deg, d 2.701, I 59
hkl 2 0 0, 35.82 deg, d 2.507, I 78
hkl 2 1 3, 45.95 deg, d 1.975, I 50

# 6
Structure and theoretical XRD peak list of La6Pm7 (DFT lattice parameters and positions (GGA-PBE); Cu Kα (λ = 1.5418 Å)).
Intensities are scaled so that the largest is 100.

Structure:
```
data_La6Pm7
_cell_length_a 6.7731
_cell_length_b 6.7731
_cell_length_c 35.3643
_cell_angle_alpha 90.00
_cell_angle_beta 90.00
_cell_angle_gamma 120.00
_symmetry_space_group_name_H-M 'R -3 m'
_symmetry_Int_Tables_number 166
_symmetry_space_group_name_Hall '-R 3 2"'
loop_
_atom_site_label
_atom_site_type_symbol
_atom_site_fract_x
_atom_site_fract_y
_atom_site_fract_z
La1 La 0.0000 0.0000 0.0486
La2 La 0.0000 0.0000 0.1541
La3 La 0.0000 0.0000 0.3356
Pm1 Pm 0.0000 0.0000 0.5000
Pm2 Pm 0.0068 0.5034 0.9152
```

Most intense lines, 2θ from 15° to 90°, by angle:
hkl 1 1 0, 26.32 deg, d 3.387, I 42
hkl 1 1 6, 30.44 deg, d 2.936, I 100
hkl 0 2 1, 30.59 deg, d 2.923, I 50
hkl 0 1 11, 31.74 deg, d 2.819, I 43
hkl 2 0 5, 33.07 deg, d 2.709, I 52
hkl 2 2 0, 54.17 deg, d 1.693, I 49

# 7
Structure and theoretical XRD peak list of KZnTe3As (DFT lattice parameters and positions (GGA-PBE); Cu Kα (λ = 1.5418 Å)).
Intensities are scaled so that the largest is 100.

Structure:
```
data_KZnTe3As
_cell_length_a 9.5851
_cell_length_b 4.2885
_cell_length_c 10.3334
_cell_angle_alpha 90.00
_cell_angle_beta 108.27
_cell_angle_gamma 90.00
_symmetry_space_group_name_H-M 'P 1 21/m 1'
_symmetry_Int_Tables_number 11
loop_
_symmetry_equiv_pos_as_xyz
'x,y,z'
'-x,-y,-z'
'-x,y+1/2,-z'
'x,-y+1/2,z'
loop_
_atom_site_label
_atom_site_type_symbol
_atom_site_fract_x
_atom_site_fract_y
_atom_site_fract_z
K1 K 0.2002 0.2500 0.2473
Zn1 Zn 0.0818 0.2500 0.6095
Te1 Te 0.1285 0.2500 0.8778
Te2 Te 0.2136 0.7500 0.5377
Te3 Te 0.4610 0.7500 0.1490
As1 As 0.3354 0.7500 0.8773
```

Most intense lines, 2θ from 15° to 90°, by angle:
hkl 0 0 3, 27.29 deg, d 3.268, I 56
hkl 2 1 -1, 28.08 deg, d 3.177, I 100
hkl 2 1 0, 28.60 deg, d 3.121, I 51
hkl 2 1 -4, 41.65 deg, d 2.168, I 51
hkl 0 2 0, 42.14 deg, d 2.144, I 35
hkl 3 1 2, 45.04 deg, d 2.013, I 44

# 8
Structure and theoretical XRD peak list of Rb2HgHF6 (DFT lattice parameters and positions (GGA-PBE); Cu Kα (λ = 1.5418 Å)).
Intensities are scaled so that the largest is 100.

Structure:
```
data_Rb2HgHF6
_cell_length_a 7.4038
_cell_length_b 9.8654
_cell_length_c 5.6386
_cell_angle_alpha 90.00
_cell_angle_beta 121.18
_cell_angle_gamma 90.00
_symmetry_space_group_name_H-M 'C 1 2/m 1'
_symmetry_Int_Tables_number 12
loop_
_symmetry_equiv_pos_as_xyz
'x,y,z'
'-x,-y,-z'
'-x,y,-z'
'x,-y,z'
'x+1/2,y+1/2,z'
'-x+1/2,-y+1/2,-z'
'-x+1/2,y+1/2,-z'
'x+1/2,-y+1/2,z'
loop_
_atom_site_label
_atom_site_type_symbol
_atom_site_fract_x
_atom_site_fract_y
_atom_site_fract_z
Rb1 Rb 0.0000 0.2087 0.0000
Hg1 Hg 0.0000 0.5000 0.5000
H1 H 0.0000 0.0000 0.5000
F1 F 0.0000 0.2876 0.5000
F2 F 0.1158 0.0000 0.4196
F3 F 0.1805 0.5000 0.9333
```

Most intense lines, 2θ from 15° to 90°, by angle:
hkl 1 1 0, 16.63 deg, d 5.330, I 50
hkl 1 1 -1, 18.67 deg, d 4.752, I 100
hkl 0 2 1, 25.83 deg, d 3.449, I 82
hkl 2 0 0, 28.18 deg, d 3.167, I 52
hkl 2 2 -1, 30.44 deg, d 2.936, I 63
hkl 1 3 0, 30.63 deg, d 2.919, I 43

# 9
Structure and theoretical XRD peak list of Ac2SmErTe6 (DFT lattice parameters and positions (GGA-PBE); Cu Kα (λ = 1.5418 Å)).
Intensities are scaled so that the largest is 100.

Structure:
```
data_Ac2SmErTe6
_cell_length_a 8.1197
_cell_length_b 8.1197
_cell_length_c 21.2303
_cell_angle_alpha 90.00
_cell_angle_beta 90.00
_cell_angle_gamma 120.00
_symmetry_space_group_name_H-M 'R 3'
_symmetry_Int_Tables_number 146
_symmetry_space_group_name_Hall 'R 3'
loop_
_atom_site_label
_atom_site_type_symbol
_atom_site_fract_x
_atom_site_fract_y
_atom_site_fract_z
Ac1 Ac 0.0000 0.0000 0.0000
Ac2 Ac 0.0000 0.0000 0.4994
Sm1 Sm 0.0000 0.0000 0.2985
Er1 Er 0.0000 0.0000 0.7994
Te1 Te 0.0093 0.3847 0.0576
Te2 Te 0.0184 0.6297 0.5559
```

Most intense lines, 2θ from 15° to 90°, by angle:
hkl 0 1 2, 15.11 deg, d 5.862, I 38
hkl 1 0 4, 20.97 deg, d 4.236, I 52
hkl 1 1 3, 25.29 deg, d 3.522, I 83
hkl 0 2 4, 30.50 deg, d 2.931, I 52
hkl 1 1 6, 33.60 deg, d 2.667, I 100
hkl 3 0 0, 38.40 deg, d 2.344, I 69

# 10
Structure and theoretical XRD peak list of Y2ZnB2Ru5 (DFT lattice parameters and positions (GGA-PBE); Cu Kα (λ = 1.5418 Å)).
Intensities are scaled so that the largest is 100.

Structure:
```
data_Y2ZnB2Ru5
_cell_length_a 9.5913
_cell_length_b 9.5913
_cell_length_c 3.1295
_cell_angle_alpha 90.00
_cell_angle_beta 90.00
_cell_angle_gamma 90.00
_symmetry_space_group_name_H-M 'P 4/m b m'
_symmetry_Int_Tables_number 127
_symmetry_space_group_name_Hall '-P 4 2ab'
loop_
_atom_site_label
_atom_site_type_symbol
_atom_site_fract_x
_atom_site_fract_y
_atom_site_fract_z
Y1 Y 0.1759 0.3241 0.0000
Zn1 Zn 0.0000 0.0000 0.0000
B1 B 0.1245 0.6245 0.0000
Ru1 Ru 0.0000 0.5000 0.5000
Ru2 Ru 0.0699 0.7809 0.5000
```

Most intense lines, 2θ from 15° to 90°, by angle:
hkl 2 1 1, 35.51 deg, d 2.528, I 72
hkl 4 1 0, 38.71 deg, d 2.326, I 83
hkl 2 2 1, 39.17 deg, d 2.300, I 36
hkl 3 1 1, 41.46 deg, d 2.178, I 100
hkl 4 2 0, 42.13 deg, d 2.145, I 43
hkl 3 2 1, 44.71 deg, d 2.027, I 38

# 11
Structure and theoretical XRD peak list of AlHgIr (DFT lattice parameters and positions (GGA-PBE); Cu Kα (λ = 1.5418 Å)).
Intensities are scaled so that the largest is 100.

Structure:
```
data_AlHgIr
_cell_length_a 2.9738
_cell_length_b 3.5641
_cell_length_c 9.7472
_cell_angle_alpha 90.00
_cell_angle_beta 90.00
_cell_angle_gamma 90.00
_symmetry_space_group_name_H-M 'I m m 2'
_symmetry_Int_Tables_number 44
loop_
_symmetry_equiv_pos_as_xyz
'x,y,z'
'-x,-y,z'
'-x,y,z'
'x,-y,z'
'x+1/2,y+1/2,z+1/2'
'-x+1/2,-y+1/2,z+1/2'
'-x+1/2,y+1/2,z+1/2'
'x+1/2,-y+1/2,z+1/2'
loop_
_atom_site_label
_atom_site_type_symbol
_atom_site_fract_x
_atom_site_fract_y
_atom_site_fract_z
Al1 Al 0.0000 0.0000 0.0000
Hg1 Hg 0.0000 0.0000 0.2976
Ir1 Ir 0.0000 0.0000 0.5981
```

Most intense lines, 2θ from 15° to 90°, by angle:
hkl 0 1 1, 26.63 deg, d 3.347, I 66
hkl 1 0 1, 31.45 deg, d 2.844, I 44
hkl 0 1 3, 37.46 deg, d 2.401, I 100
hkl 1 1 0, 39.46 deg, d 2.283, I 100
hkl 1 0 3, 41.15 deg, d 2.194, I 77
hkl 1 1 4, 55.12 deg, d 1.666, I 42

# 12
Structure and theoretical XRD peak list of CsK6Au4 (DFT lattice parameters and positions (GGA-PBE); Cu Kα (λ = 1.5418 Å)).
Intensities are scaled so that the largest is 100.

Structure:
```
data_CsK6Au4
_cell_length_a 5.5257
_cell_length_b 5.5257
_cell_length_c 30.3222
_cell_angle_alpha 90.00
_cell_angle_beta 90.00
_cell_angle_gamma 90.00
_symmetry_space_group_name_H-M 'I 4/m m m'
_symmetry_Int_Tables_number 139
_symmetry_space_group_name_Hall '-I 4 2'
loop_
_atom_site_label
_atom_site_type_symbol
_atom_site_fract_x
_atom_site_fract_y
_atom_site_fract_z
Cs1 Cs 0.0000 0.0000 0.0000
K1 K 0.0000 0.5000 0.1148
K2 K 0.0000 0.5000 0.2500
Au1 Au 0.0000 0.0000 0.1814
Au2 Au 0.0000 0.0000 0.4537
```

Most intense lines, 2θ from 15° to 90°, by angle:
hkl 1 0 3, 18.30 deg, d 4.848, I 100
hkl 1 1 0, 22.76 deg, d 3.907, I 53
hkl 2 0 0, 32.40 deg, d 2.763, I 69
hkl 1 1 8, 32.92 deg, d 2.720, I 56
hkl 1 0 11, 36.43 deg, d 2.467, I 64
hkl 2 1 11, 49.54 deg, d 1.840, I 53